(1)
This entry pairs a crystal structure of Pm2Cu3Pt4 with its calculated X-ray diffraction stick pattern. Radiation: Cu Kα X-rays. Structure: a PBE-relaxed structure.

Main lines, in order of rising 2θ (10° ≤ 2θ ≤ 80°):
(0 4 1), 26.2 deg, rel. 35; (1 5 1), 35.7 deg, rel. 62; (2 2 1), 36.5 deg, rel. 46; (0 2 3), 37.3 deg, rel. 42; (0 6 1), 37.5 deg, rel. 18; (2 0 2), 40.3 deg, rel. 100; (0 6 2), 42.9 deg, rel. 42; (2 6 0), 48.7 deg, rel. 20; (1 9 1), 58.5 deg, rel. 18; (2 6 4), 70.6 deg, rel. 23

Structure:
Lattice parameters (Å, degrees): 5.5411 15.1793 7.6224 90.00 90.00 90.00
Space group Cmce (No. 64)
Symmetry-distinct sites (fractional):
1 Pm 0.0000 0.1099 0.0917
2 Cu 0.0000 0.0000 0.5000
3 Cu 0.2500 0.2358 0.7500
4 Pt 0.0000 0.1729 0.4826
5 Pt 0.2500 0.0638 0.7500

(2)
This entry pairs a crystal structure of PmCuSi2Pt7 with its calculated X-ray diffraction stick pattern. Radiation: Cu Kα X-rays. Structure: a PBE-relaxed structure.

Main lines, in order of rising 2θ (10° ≤ 2θ ≤ 80°):
(0 0 6), 19.3 deg, rel. 17; (1 0 5), 27.1 deg, rel. 21; (1 1 2), 31.5 deg, rel. 18; (0 0 10), 32.4 deg, rel. 17; (1 1 4), 33.6 deg, rel. 43; (1 1 6), 36.7 deg, rel. 100; (2 0 0), 44.2 deg, rel. 50; (1 1 12), 50.7 deg, rel. 22; (2 2 0), 64.3 deg, rel. 17; (3 1 6), 76.4 deg, rel. 32

Structure:
Lattice parameters (Å, degrees): 4.0963 4.0963 27.6164 90.00 90.00 90.00
Space group I-4m2 (No. 119)
Symmetry-distinct sites (fractional):
1 Pm 0.0000 0.0000 0.0000
2 Cu 0.0000 0.5000 0.2500
3 Si 0.0000 0.0000 0.3737
4 Pt 0.0000 0.0000 0.2934
5 Pt 0.0000 0.0000 0.5000
6 Pt 0.0000 0.5000 0.0810
7 Pt 0.0000 0.5000 0.5803

(3)
This entry pairs a crystal structure of Pm3Cu2SiPt9 with its calculated X-ray diffraction stick pattern. Radiation: Cu Kα X-rays. Structure: a PBE-relaxed structure.

Main lines, in order of rising 2θ (10° ≤ 2θ ≤ 80°):
(1 0 1), 19.8 deg, rel. 15; (0 0 3), 23.6 deg, rel. 76; (0 1 3), 29.9 deg, rel. 15; (0 2 1), 37.8 deg, rel. 99; (1 1 3), 40.0 deg, rel. 15; (2 0 2), 40.3 deg, rel. 100; (0 1 5), 44.1 deg, rel. 17; (0 2 4), 49.3 deg, rel. 40; (2 2 0), 66.5 deg, rel. 27; (2 2 3), 71.6 deg, rel. 23

Structure:
Lattice parameters (Å, degrees): 5.6247 5.6247 11.3296 90.00 90.00 120.00
Space group P-3m1 (No. 164)
Symmetry-distinct sites (fractional):
1 Pm 0.0000 0.0000 0.0000
2 Pm 0.3333 0.6667 0.7531
3 Cu 0.3333 0.6667 0.1733
4 Si 0.0000 0.0000 0.5000
5 Pt 0.0000 0.5000 0.0000
6 Pt 0.1715 0.3430 0.3526

(4)
This entry pairs a crystal structure of PmCu2SiPt with its calculated X-ray diffraction stick pattern. Radiation: Cu Kα X-rays. Structure: a PBE-relaxed structure.

Main lines, in order of rising 2θ (10° ≤ 2θ ≤ 80°):
(0 1 1), 23.1 deg, rel. 12; (1 0 1), 23.8 deg, rel. 19; (0 1 3), 33.8 deg, rel. 20; (1 0 3), 34.2 deg, rel. 12; (0 0 4), 34.6 deg, rel. 15; (1 1 2), 35.7 deg, rel. 100; (0 2 0), 43.7 deg, rel. 19; (2 0 0), 45.2 deg, rel. 18; (1 1 6), 62.6 deg, rel. 13; (2 2 0), 64.8 deg, rel. 12

Structure:
Lattice parameters (Å, degrees): 4.0080 4.1390 10.3823 90.00 90.00 90.00
Space group Imm2 (No. 44)
Symmetry-distinct sites (fractional):
1 Pm 0.0000 0.0000 0.0000
2 Cu 0.0000 0.0000 0.6023
3 Cu 0.0000 0.5000 0.2546
4 Si 0.0000 0.0000 0.3773
5 Pt 0.0000 0.5000 0.7524